Li4Mn5NiO12: calculated XRD peak list (Cu Kα), based on the PBE+U geometry in the Materials Project.

Structure:
```
data_Li4Mn5NiO12
_cell_length_a 5.131
_cell_length_b 5.131
_cell_length_c 10.252
_cell_angle_alpha 90.27
_cell_angle_beta 90.27
_cell_angle_gamma 120.10
_symmetry_space_group_name_H-M 'P 1'
_symmetry_Int_Tables_number 1
loop_
_symmetry_equiv_pos_as_xyz
'x,y,z'
loop_
_atom_site_label
_atom_site_type_symbol
_atom_site_fract_x
_atom_site_fract_y
_atom_site_fract_z
_atom_site_occupancy
Li1 Li 0.161 0.666 0.751 1
Li2 Li 0.334 0.839 0.249 1
Li3 Li 0.666 0.161 0.751 1
Li4 Li 0.839 0.334 0.249 1
Mn1 Mn 0.164 0.836 0.500 1
Mn2 Mn 0.337 0.663 0.000 1
Mn3 Mn 0.500 0.500 0.500 1
Mn4 Mn 0.663 0.337 0.000 1
Mn5 Mn 0.836 0.164 0.500 1
Ni1 Ni 0.000 0.000 0.000 1
O1 O 0.005 0.643 0.104 1
O2 O 0.156 0.519 0.392 1
O3 O 0.174 0.174 0.594 1
O4 O 0.352 0.352 0.098 1
O5 O 0.357 0.995 0.896 1
O6 O 0.481 0.844 0.608 1
O7 O 0.519 0.156 0.392 1
O8 O 0.643 0.005 0.104 1
O9 O 0.648 0.648 0.902 1
O10 O 0.826 0.826 0.406 1
O11 O 0.844 0.481 0.608 1
O12 O 0.995 0.357 0.896 1
```

Main lines, by angle (2θ = 10–80°):
2θ = 17.3°, rel. 100; 2θ = 35.0°, rel. 12; 2θ = 36.1°, rel. 30; 2θ = 39.2°, rel. 12; 2θ = 44.0°, rel. 18; 2θ = 44.2°, rel. 16; 2θ = 57.4°, rel. 9; 2θ = 57.7°, rel. 9; 2θ = 63.4°, rel. 8; 2θ = 63.6°, rel. 8

=====

Li4Mn3NiO8: calculated XRD peak list (Cu Kα), based on the PBE+U geometry in the Materials Project.

Structure:
```
data_Li4Mn3NiO8
_cell_length_a 5.889
_cell_length_b 5.889
_cell_length_c 5.996
_cell_angle_alpha 120.32
_cell_angle_beta 120.32
_cell_angle_gamma 61.01
_symmetry_space_group_name_H-M 'P 1'
_symmetry_Int_Tables_number 1
loop_
_symmetry_equiv_pos_as_xyz
'x,y,z'
loop_
_atom_site_label
_atom_site_type_symbol
_atom_site_fract_x
_atom_site_fract_y
_atom_site_fract_z
_atom_site_occupancy
Li1 Li 0.000 0.000 0.000 1
Li2 Li 0.000 0.500 0.500 1
Li3 Li 0.500 0.000 0.500 1
Li4 Li 0.500 0.500 0.000 1
Mn1 Mn 0.000 0.000 0.500 1
Mn2 Mn 0.000 0.500 0.000 1
Mn3 Mn 0.500 0.000 0.000 1
Ni1 Ni 0.500 0.500 0.500 1
O1 O 0.223 0.756 0.259 1
O2 O 0.236 0.236 0.717 1
O3 O 0.244 0.777 0.741 1
O4 O 0.250 0.250 0.213 1
O5 O 0.750 0.750 0.787 1
O6 O 0.756 0.223 0.259 1
O7 O 0.764 0.764 0.283 1
O8 O 0.777 0.244 0.741 1
```

Main lines, by angle (2θ = 10–80°):
2θ = 18.4°, rel. 100; 2θ = 35.3°, rel. 30; 2θ = 35.9°, rel. 13; 2θ = 37.2°, rel. 14; 2θ = 42.7°, rel. 54; 2θ = 44.1°, rel. 25; 2θ = 56.6°, rel. 10; 2θ = 62.9°, rel. 14; 2θ = 63.2°, rel. 14; 2θ = 79.3°, rel. 9

=====

Li4Mn3Ni3P6O24: calculated XRD peak list (Cu Kα), based on the PBE+U geometry in the Materials Project.

Structure:
```
data_Li4Mn3Ni3P6O24
_cell_length_a 8.334
_cell_length_b 8.425
_cell_length_c 8.435
_cell_angle_alpha 63.16
_cell_angle_beta 64.10
_cell_angle_gamma 64.73
_symmetry_space_group_name_H-M 'P 1'
_symmetry_Int_Tables_number 1
loop_
_symmetry_equiv_pos_as_xyz
'x,y,z'
loop_
_atom_site_label
_atom_site_type_symbol
_atom_site_fract_x
_atom_site_fract_y
_atom_site_fract_z
_atom_site_occupancy
Li1 Li 0.000 0.000 0.000 1
Li2 Li 0.100 0.895 0.507 1
Li3 Li 0.203 0.405 0.392 1
Li4 Li 0.586 0.603 0.811 1
Mn1 Mn 0.001 0.416 0.802 1
Mn2 Mn 0.494 0.899 0.298 1
Mn3 Mn 0.705 0.112 0.506 1
Ni1 Ni 0.197 0.608 0.004 1
Ni2 Ni 0.351 0.759 0.147 1
Ni3 Ni 0.842 0.264 0.652 1
P1 P 0.095 0.198 0.207 1
P2 P 0.296 0.004 0.696 1
P3 P 0.413 0.507 0.596 1
P4 P 0.596 0.299 0.110 1
P5 P 0.781 0.817 0.904 1
P6 P 0.911 0.706 0.400 1
O1 O 0.024 0.227 0.056 1
O2 O 0.101 0.152 0.723 1
O3 O 0.104 0.684 0.242 1
O4 O 0.161 0.356 0.176 1
O5 O 0.238 0.000 0.232 1
O6 O 0.260 0.438 0.614 1
O7 O 0.288 0.849 0.893 1
O8 O 0.313 0.937 0.545 1
O9 O 0.370 0.572 0.756 1
O10 O 0.414 0.675 0.403 1
O11 O 0.446 0.494 0.093 1
O12 O 0.462 0.071 0.640 1
O13 O 0.517 0.144 0.157 1
O14 O 0.590 0.837 0.057 1
O15 O 0.607 0.366 0.574 1
O16 O 0.672 0.258 0.264 1
O17 O 0.741 0.320 0.911 1
O18 O 0.746 0.764 0.335 1
O19 O 0.774 0.011 0.739 1
O20 O 0.801 0.663 0.842 1
O21 O 0.901 0.849 0.472 1
O22 O 0.924 0.505 0.548 1
O23 O 0.945 0.176 0.410 1
O24 O 0.947 0.787 0.960 1
```

Main lines, by angle (2θ = 10–80°):
2θ = 19.8°, rel. 85; 2θ = 20.0°, rel. 76; 2θ = 20.1°, rel. 84; 2θ = 23.8°, rel. 100; 2θ = 24.1°, rel. 94; 2θ = 24.3°, rel. 88; 2θ = 33.3°, rel. 89; 2θ = 33.9°, rel. 80; 2θ = 34.6°, rel. 62; 2θ = 34.9°, rel. 57